(1)
Simulated XRD peak list of Zn5CuAu6 for CuKα, from a cell relaxed with GGA-PBE.
Lines closer than 0.1° are merged.

```
data_Zn5CuAu6
_chemical_formula_sum 'Zn10 Cu2 Au12'
_cell_length_a 4.5837
_cell_length_b 13.7884
_cell_length_c 6.1120
_cell_angle_alpha 90.00
_cell_angle_beta 90.52
_cell_angle_gamma 90.00
_symmetry_space_group_name_H-M 'C 1 2/m 1'
_symmetry_Int_Tables_number 12
_symmetry_space_group_name_Hall '-C 2y'
loop_
_atom_site_label
_atom_site_fract_x
_atom_site_fract_y
_atom_site_fract_z
_atom_site_occupancy
Zn1 0.0000 0.0000 0.0000 1
Zn2 0.0000 0.3325 0.0000 1
Zn3 0.0000 0.3361 0.5000 1
Cu1 0.0000 0.0000 0.5000 1
Au1 0.9997 0.1663 0.2520 1
Au2 0.0003 0.5000 0.2497 1
```

Peak list (12 most intense, 2θ = 10–80°, most intense first)
- 2θ 40.4, intensity 100
- 2θ 40.7, intensity 98
- 2θ 27.5, intensity 60
- 2θ 39.2, intensity 54
- 2θ 39.3, intensity 54
- 2θ 56.7, intensity 37
- 2θ 29.2, intensity 26
- 2θ 71.8, intensity 18
- 2θ 71.9, intensity 18
- 2θ 72.0, intensity 18
- 2θ 72.4, intensity 18
- 2θ 74.6, intensity 16

(2)
Simulated XRD peak list of Zn2Cu10Au for CuKα, from a cell relaxed with GGA-PBE.
Lines closer than 0.1° are merged.

```
data_Zn2Cu10Au
_chemical_formula_sum 'Zn8 Cu40 Au4'
_cell_length_a 4.8437
_cell_length_b 11.7737
_cell_length_c 12.0063
_cell_angle_alpha 90.00
_cell_angle_beta 90.00
_cell_angle_gamma 90.00
_symmetry_space_group_name_H-M 'F m m m'
_symmetry_Int_Tables_number 69
_symmetry_space_group_name_Hall '-F 2 2'
loop_
_atom_site_label
_atom_site_fract_x
_atom_site_fract_y
_atom_site_fract_z
_atom_site_occupancy
Zn1 0.2500 0.2500 0.0000 1
Cu1 0.0000 0.1065 0.1077 1
Cu2 0.0000 0.1749 0.3219 1
Cu3 0.2500 0.0000 0.2500 1
Au1 0.0000 0.0000 0.5000 1
```

Peak list (12 most intense, 2θ = 10–80°, most intense first)
- 2θ 43.1, intensity 100
- 2θ 37.1, intensity 57
- 2θ 42.7, intensity 43
- 2θ 43.4, intensity 39
- 2θ 78.9, intensity 17
- 2θ 29.9, intensity 13
- 2θ 30.2, intensity 12
- 2θ 70.8, intensity 11
- 2θ 48.7, intensity 11
- 2θ 48.3, intensity 10
- 2θ 71.2, intensity 10
- 2θ 79.6, intensity 8

(3)
Simulated XRD peak list of Zn11Cu9Au4 for CuKα, from a cell relaxed with GGA-PBE.
Lines closer than 0.1° are merged.

```
data_Zn11Cu9Au4
_chemical_formula_sum 'Zn22 Cu18 Au8'
_cell_length_a 12.7808
_cell_length_b 18.2244
_cell_length_c 2.9276
_cell_angle_alpha 90.00
_cell_angle_beta 90.00
_cell_angle_gamma 90.00
_symmetry_space_group_name_H-M 'C m m m'
_symmetry_Int_Tables_number 65
_symmetry_space_group_name_Hall '-C 2 2'
loop_
_atom_site_label
_atom_site_fract_x
_atom_site_fract_y
_atom_site_fract_z
_atom_site_occupancy
Zn1 0.0000 0.0000 0.0000 1
Zn2 0.0000 0.1860 0.0000 1
Zn3 0.0000 0.3655 0.0000 1
Zn4 0.2026 0.0000 0.0000 1
Zn5 0.2197 0.1822 0.0000 1
Cu1 0.0000 0.5000 0.5000 1
Cu2 0.1038 0.0947 0.5000 1
Cu3 0.1103 0.2721 0.5000 1
Au1 0.1673 0.4156 0.5000 1
```

Peak list (12 most intense, 2θ = 10–80°, most intense first)
- 2θ 42.9, intensity 100
- 2θ 41.9, intensity 70
- 2θ 41.0, intensity 61
- 2θ 43.2, intensity 56
- 2θ 37.6, intensity 44
- 2θ 47.5, intensity 37
- 2θ 40.6, intensity 37
- 2θ 79.5, intensity 34
- 2θ 75.7, intensity 31
- 2θ 21.4, intensity 30
- 2θ 63.6, intensity 23
- 2θ 32.3, intensity 21

(4)
Simulated XRD peak list of Zn3Cu4Au2 for CuKα, from a cell relaxed with GGA-PBE.
Lines closer than 0.1° are merged.

```
data_Zn3Cu4Au2
_chemical_formula_sum 'Zn12 Cu16 Au8'
_cell_length_a 11.3709
_cell_length_b 9.7942
_cell_length_c 4.7740
_cell_angle_alpha 90.00
_cell_angle_beta 95.36
_cell_angle_gamma 90.00
_symmetry_space_group_name_H-M 'C 1 2/c 1'
_symmetry_Int_Tables_number 15
_symmetry_space_group_name_Hall '-C 2yc'
loop_
_atom_site_label
_atom_site_fract_x
_atom_site_fract_y
_atom_site_fract_z
_atom_site_occupancy
Zn1 0.0000 0.0036 0.2500 1
Zn2 0.0994 0.3998 0.4130 1
Cu1 0.0529 0.2265 0.0072 1
Cu2 0.1643 0.1559 0.5644 1
Au1 0.2360 0.3919 0.9093 1
```

Peak list (12 most intense, 2θ = 10–80°, most intense first)
- 2θ 40.1, intensity 100
- 2θ 42.9, intensity 52
- 2θ 15.7, intensity 43
- 2θ 43.6, intensity 39
- 2θ 42.3, intensity 37
- 2θ 40.6, intensity 37
- 2θ 31.6, intensity 30
- 2θ 30.2, intensity 20
- 2θ 36.7, intensity 20
- 2θ 47.4, intensity 19
- 2θ 39.1, intensity 18
- 2θ 37.9, intensity 16

(5)
Simulated XRD peak list of Zn4Cu9Au11 for CuKα, from a cell relaxed with GGA-PBE.
Lines closer than 0.1° are merged.

```
data_Zn4Cu9Au11
_chemical_formula_sum 'Zn8 Cu18 Au22'
_cell_length_a 13.6469
_cell_length_b 18.4342
_cell_length_c 2.9367
_cell_angle_alpha 90.00
_cell_angle_beta 90.00
_cell_angle_gamma 90.00
_symmetry_space_group_name_H-M 'C m m m'
_symmetry_Int_Tables_number 65
_symmetry_space_group_name_Hall '-C 2 2'
loop_
_atom_site_label
_atom_site_fract_x
_atom_site_fract_y
_atom_site_fract_z
_atom_site_occupancy
Zn1 0.1599 0.0826 0.0000 1
Cu1 0.0000 0.0000 0.0000 1
Cu2 0.1008 0.4053 0.0000 1
Cu3 0.1177 0.2218 0.0000 1
Au1 0.0000 0.1259 0.5000 1
Au2 0.0000 0.3067 0.5000 1
Au3 0.0000 0.5000 0.5000 1
Au4 0.2166 0.5000 0.5000 1
Au5 0.2233 0.3249 0.5000 1
```

Peak list (12 most intense, 2θ = 10–80°, most intense first)
- 2θ 40.5, intensity 100
- 2θ 39.5, intensity 80
- 2θ 41.1, intensity 67
- 2θ 42.6, intensity 67
- 2θ 39.8, intensity 62
- 2θ 26.1, intensity 40
- 2θ 75.1, intensity 35
- 2θ 25.0, intensity 28
- 2θ 73.8, intensity 28
- 2θ 30.4, intensity 27
- 2θ 45.6, intensity 23
- 2θ 77.3, intensity 22

(6)
Simulated XRD peak list of ZnCu3Au2 for CuKα, from a cell relaxed with GGA-PBE.
Lines closer than 0.1° are merged.

```
data_ZnCu3Au2
_chemical_formula_sum 'Zn4 Cu12 Au8'
_cell_length_a 8.3943
_cell_length_b 2.7458
_cell_length_c 15.3436
_cell_angle_alpha 90.00
_cell_angle_beta 90.00
_cell_angle_gamma 90.00
_symmetry_space_group_name_H-M 'P n m a'
_symmetry_Int_Tables_number 62
_symmetry_space_group_name_Hall '-P 2ac 2n'
loop_
_atom_site_label
_atom_site_fract_x
_atom_site_fract_y
_atom_site_fract_z
_atom_site_occupancy
Zn1 0.2059 0.2500 0.1639 1
Cu1 0.0128 0.7500 0.5770 1
Cu2 0.0337 0.2500 0.9097 1
Cu3 0.2446 0.2500 0.3313 1
Au1 0.0226 0.2500 0.7325 1
Au2 0.2416 0.7500 0.0070 1
```

Peak list (12 most intense, 2θ = 10–80°, most intense first)
- 2θ 41.3, intensity 100
- 2θ 24.2, intensity 70
- 2θ 43.1, intensity 63
- 2θ 39.7, intensity 55
- 2θ 23.2, intensity 33
- 2θ 34.9, intensity 30
- 2θ 46.7, intensity 26
- 2θ 41.9, intensity 25
- 2θ 38.7, intensity 24
- 2θ 45.6, intensity 24
- 2θ 44.3, intensity 22
- 2θ 68.3, intensity 14

(7)
Simulated XRD peak list of Zn2Cu2Au5 for CuKα, from a cell relaxed with GGA-PBE.
Lines closer than 0.1° are merged.

```
data_Zn2Cu2Au5
_chemical_formula_sum 'Zn4 Cu4 Au10'
_cell_length_a 12.9440
_cell_length_b 4.3618
_cell_length_c 5.5320
_cell_angle_alpha 90.00
_cell_angle_beta 108.60
_cell_angle_gamma 90.00
_symmetry_space_group_name_H-M 'C 1 2/m 1'
_symmetry_Int_Tables_number 12
_symmetry_space_group_name_Hall '-C 2y'
loop_
_atom_site_label
_atom_site_fract_x
_atom_site_fract_y
_atom_site_fract_z
_atom_site_occupancy
Zn1 0.1273 0.0000 0.4386 1
Cu1 0.2104 0.5000 0.7738 1
Au1 0.0000 0.5000 0.5000 1
Au2 0.0866 0.0000 0.8762 1
Au3 0.1635 0.5000 0.2171 1
```

Peak list (12 most intense, 2θ = 10–80°, most intense first)
- 2θ 40.2, intensity 100
- 2θ 29.0, intensity 57
- 2θ 42.3, intensity 52
- 2θ 41.4, intensity 49
- 2θ 38.0, intensity 42
- 2θ 28.7, intensity 39
- 2θ 41.6, intensity 20
- 2θ 51.1, intensity 17
- 2θ 74.7, intensity 16
- 2θ 69.1, intensity 16
- 2θ 80.0, intensity 13
- 2θ 60.1, intensity 13

(8)
Simulated XRD peak list of Zn3CuAu2 for CuKα, from a cell relaxed with GGA-PBE.
Lines closer than 0.1° are merged.

```
data_Zn3CuAu2
_chemical_formula_sum 'Zn6 Cu2 Au4'
_cell_length_a 4.1570
_cell_length_b 12.5039
_cell_length_c 3.5344
_cell_angle_alpha 90.00
_cell_angle_beta 90.00
_cell_angle_gamma 90.00
_symmetry_space_group_name_H-M 'P m m n'
_symmetry_Int_Tables_number 59
loop_
_symmetry_equiv_pos_as_xyz
'x,y,z'
'-x,-y,-z'
'-x+1/2,-y+1/2,z'
'x+1/2,y+1/2,-z'
'x+1/2,-y,-z'
'-x+1/2,y,z'
'-x,y+1/2,-z'
'x,-y+1/2,z'
loop_
_atom_site_label
_atom_site_fract_x
_atom_site_fract_y
_atom_site_fract_z
_atom_site_occupancy
Zn1 0.2500 0.0914 0.0009 1
Zn2 0.2500 0.7500 0.9990 1
Cu1 0.2500 0.2500 0.5010 1
Au1 0.2500 0.5871 0.4989 1
```

Peak list (12 most intense, 2θ = 10–80°, most intense first)
- 2θ 39.9, intensity 100
- 2θ 43.5, intensity 20
- 2θ 43.4, intensity 19
- 2θ 69.8, intensity 18
- 2θ 30.4, intensity 14
- 2θ 77.4, intensity 14
- 2θ 77.3, intensity 13
- 2θ 63.2, intensity 12
- 2θ 51.7, intensity 12
- 2θ 25.2, intensity 11
- 2θ 22.5, intensity 8
- 2θ 34.1, intensity 7

Q: Which formula does entry 2 have?
A: Zn2Cu10Au